LuSbPd2: calculated X-ray diffraction stick pattern (Cu Kα), based on a structure optimized by DFT (PBE).
Lines closer than 0.1° are merged.

```
data_LuSbPd2
_cell_length_a 6.7507
_cell_length_b 6.7507
_cell_length_c 6.7507
_cell_angle_alpha 90.00
_cell_angle_beta 90.00
_cell_angle_gamma 90.00
_space_group_name_H-M_alt 'F m -3 m'
_space_group_IT_number 225
_space_group_name_Hall '-F 4 2 3'
loop_
_atom_site_label
_atom_site_fract_x
_atom_site_fract_y
_atom_site_fract_z
Lu1 0.0000 0.0000 0.0000
Sb1 0.0000 0.0000 0.5000
Pd1 0.2500 0.2500 0.2500
```

Largest 9 diffraction maxima, sorted by position, 10 to 80 degrees two-theta:
2θ/deg	I/Imax
22.82	24
26.41	28
37.69	1000
44.51	14
46.61	9
54.36	172
59.71	6
61.42	12
68.04	347